(1)
# Tb4Sb3H2
Calculated XRD peak list, CuKα. Input: a DFT-relaxed cell (PBE, Alexandria).
Peak positions follow from Bragg's law for the DFT cell and can differ from measured ones.

Structure:
Unit cell a=7.850 b=7.850 c=7.334 alpha=98.41 beta=98.41 gamma=77.63
Fractional positions:
Tb1 0.074 0.713 0.987
Tb2 0.268 0.396 0.386
Tb3 0.287 0.926 0.513
Tb4 0.396 0.268 0.886
Tb5 0.604 0.732 0.114
Tb6 0.713 0.074 0.487
Tb7 0.732 0.604 0.614
Tb8 0.926 0.287 0.013
Sb1 0.029 0.269 0.625
Sb2 0.269 0.029 0.125
Sb3 0.382 0.618 0.750
Sb4 0.618 0.382 0.250
Sb5 0.731 0.971 0.875
Sb6 0.971 0.731 0.375
H1 0.170 0.433 0.067
H2 0.433 0.170 0.567
H3 0.567 0.830 0.433
H4 0.830 0.567 0.933

Principal peaks in the range 2θ = 15–90°, in order of rising 2θ:
25.13 deg, intensity 77
26.36 deg, intensity 60
28.93 deg, intensity 100
29.74 deg, intensity 50
31.26 deg, intensity 66
31.44 deg, intensity 72
35.13 deg, intensity 86
35.37 deg, intensity 52
36.10 deg, intensity 66
36.87 deg, intensity 72



(2)
# TcSbH2
Calculated XRD peak list, CuKα. Input: a DFT-relaxed cell (PBE, Alexandria).
Peak positions follow from Bragg's law for the DFT cell and can differ from measured ones.

Structure:
Unit cell a=4.926 b=4.926 c=4.926 alpha=141.34 beta=141.34 gamma=55.82
Fractional positions:
Tc1 0.000 0.000 0.000
Sb1 0.321 0.321 0.000
H1 0.089 0.589 0.500
H2 0.589 0.089 0.500

Principal peaks in the range 2θ = 15–90°, in order of rising 2θ:
20.40 deg, intensity 30
29.24 deg, intensity 78
39.06 deg, intensity 60
41.66 deg, intensity 100
44.46 deg, intensity 17
56.43 deg, intensity 21
58.29 deg, intensity 15
64.82 deg, intensity 15
72.54 deg, intensity 37
77.76 deg, intensity 15



(3)
# TcSbH2
Calculated XRD peak list, CuKα. Input: a DFT-relaxed cell (PBE, Alexandria).
Peak positions follow from Bragg's law for the DFT cell and can differ from measured ones.

Structure:
Unit cell a=3.326 b=3.326 c=4.843 alpha=110.03 beta=110.05 gamma=90.08
Fractional positions:
Tc1 0.000 0.000 0.000
Sb1 0.250 0.750 0.500
H1 0.583 0.090 0.166
H2 0.914 0.417 0.834

Principal peaks in the range 2θ = 15–90°, in order of rising 2θ:
28.84 deg, intensity 100
41.97 deg, intensity 37
42.70 deg, intensity 17
44.04 deg, intensity 62
55.24 deg, intensity 16
61.42 deg, intensity 11
63.51 deg, intensity 21
71.73 deg, intensity 15
72.24 deg, intensity 14
79.12 deg, intensity 11